Structure and computed powder X-ray diffraction pattern of Eu2Mg3H10 (a cell relaxed with PBE; a wavelength of 1.5418 Å).
Intensities are scaled so that the largest is 100.

Cell and atoms:
Unit cell a=9.1265 b=9.1265 c=7.3044 alpha=110.05 beta=110.05 gamma=36.03
Positions (direct):
Eu: 0.1166 0.1166 0.2219
Eu: 0.2215 0.2215 0.8163
Eu: 0.7785 0.7785 0.1837
Eu: 0.8834 0.8834 0.7781
Mg: 0.2411 0.7589 0.5000
Mg: 0.3248 0.3248 0.4775
Mg: 0.4244 0.4244 0.0528
Mg: 0.5756 0.5756 0.9472
Mg: 0.6752 0.6752 0.5225
Mg: 0.7589 0.2411 0.5000
H: 0.0000 0.5000 0.5000
H: 0.0161 0.0161 0.6962
H: 0.0960 0.5931 0.0159
H: 0.1067 0.6637 0.4713
H: 0.2596 0.2596 0.2032
H: 0.2616 0.7384 0.0000
H: 0.3363 0.8933 0.5287
H: 0.3644 0.3644 0.7595
H: 0.4069 0.9040 0.9841
H: 0.4799 0.4799 0.3230
H: 0.5000 0.0000 0.5000
H: 0.5201 0.5201 0.6770
H: 0.5931 0.0960 0.0159
H: 0.6356 0.6356 0.2405
H: 0.6637 0.1067 0.4713
H: 0.7384 0.2616 0.0000
H: 0.7404 0.7404 0.7968
H: 0.8933 0.3363 0.5287
H: 0.9040 0.4069 0.9841
H: 0.9839 0.9839 0.3038

Largest 8 diffraction maxima, low angle first, 2θ = 5–70°:
two_theta, I (rel.)
10.9, 43.6
16.6, 39.2
23.1, 48.0
29.2, 100.0
29.4, 54.7
30.0, 87.2
30.9, 58.6
31.7, 41.5